This entry pairs a crystal structure of LaScGe with its calculated powder diffractogram. Radiation: Cu Ka. Structure: DFT lattice parameters and positions (GGA-PBE).

Cell and atoms:
Cell: 4.376 4.376 16.338 Å, 90.00 90.00 90.00°
Space group I4/mmm (No. 139)
One atom of each set of equivalent atoms:
La  0.000  0.000  0.176
Sc  0.000  0.500  0.000
Ge  0.000  0.000  0.381

The 10 most intense peaks (2θ = 15–90°), by angle:
hkl	2θ/deg	I_rel
1 0 3	26.12	59
1 1 0	28.86	84
1 1 2	30.90	75
0 0 6	32.89	26
1 0 5	34.25	100
1 1 4	36.43	81
2 0 0	41.26	75
2 0 6	53.75	33
1 0 9	54.70	86
2 1 9	70.78	43



This entry pairs a crystal structure of RbMg14SiO16 with its calculated powder diffractogram. Radiation: Cu Ka. Structure: DFT lattice parameters and positions (GGA-PBE).

Cell and atoms:
Cell: 4.522 8.495 8.742 Å, 90.00 90.00 90.00°
Space group Pmmm (No. 47)
One atom of each set of equivalent atoms:
Rb  0.000  0.000  0.000
Mg  0.000  0.000  0.500
Mg  0.000  0.249  0.260
Mg  0.000  0.500  0.500
Mg  0.500  0.000  0.255
Mg  0.500  0.249  0.500
Mg  0.500  0.250  0.000
Mg  0.500  0.500  0.251
Si  0.000  0.500  0.000
O  0.000  0.000  0.280
O  0.000  0.259  0.500
O  0.000  0.296  0.000
O  0.000  0.500  0.244
O  0.500  0.000  0.000
O  0.500  0.000  0.500
O  0.500  0.251  0.249
O  0.500  0.500  0.000
O  0.500  0.500  0.500

The 10 most intense peaks (2θ = 15–90°), by angle:
hkl	2θ/deg	I_rel
0 0 3	30.65	12
1 2 2	35.53	49
2 0 0	39.87	100
0 0 4	41.31	88
0 4 0	42.57	80
2 0 4	58.76	53
2 4 0	59.74	49
0 4 4	60.82	47
3 2 2	69.59	11
2 4 4	75.22	44



This entry pairs a crystal structure of ZrO with its calculated powder diffractogram. Radiation: Cu Ka. Structure: DFT lattice parameters and positions (GGA-PBE).

Cell and atoms:
Cell: 4.625 4.625 4.625 Å, 90.00 90.00 90.00°
Space group Fm-3m (No. 225)
One atom of each set of equivalent atoms:
Zr  0.000  0.000  0.000
O  0.000  0.000  0.500

The 6 most intense peaks (2θ = 15–90°), by angle:
hkl	2θ/deg	I_rel
1 1 1	33.56	98
2 0 0	38.94	100
2 2 0	56.25	64
3 1 1	67.12	41
2 2 2	70.53	20
4 0 0	83.62	9



This entry pairs a crystal structure of ZrTcCl with its calculated powder diffractogram. Radiation: Cu Ka. Structure: DFT lattice parameters and positions (GGA-PBE).

Cell and atoms:
Cell: 5.989 5.989 5.989 Å, 90.00 90.00 90.00°
Space group F-43m (No. 216)
One atom of each set of equivalent atoms:
Zr  0.000  0.000  0.000
Tc  0.000  0.000  0.500
Cl  0.250  0.250  0.750

The 10 most intense peaks (2θ = 15–90°), by angle:
hkl	2θ/deg	I_rel
1 1 1	25.76	7
2 0 0	29.84	65
2 2 0	42.70	100
3 1 1	50.54	3
2 2 2	52.96	17
4 0 0	61.98	16
3 3 1	68.26	1
4 2 0	70.29	22
4 2 2	78.19	32
5 1 1	83.95	1



This entry pairs a crystal structure of LiCu6OF11 with its calculated powder diffractogram. Radiation: Cu Ka. Structure: DFT lattice parameters and positions (GGA-PBE).

Cell and atoms:
Cell: 4.819 5.475 8.451 Å, 85.55 86.57 88.77°
Space group P1 (No. 1)
One atom of each set of equivalent atoms:
Li  0.000  0.000  0.000
Cu  0.003  0.087  0.406
Cu  0.475  0.237  0.748
Cu  0.475  0.943  0.123
Cu  0.485  0.584  0.430
Cu  0.982  0.727  0.739
Cu  0.990  0.430  0.108
O  0.162  0.133  0.184
F  0.172  0.443  0.846
F  0.196  0.790  0.509
F  0.257  0.949  0.834
F  0.270  0.649  0.177
F  0.276  0.297  0.506
F  0.680  0.531  0.677
F  0.689  0.214  0.017
F  0.694  0.869  0.349
F  0.767  0.383  0.342
F  0.778  0.726  0.026
F  0.787  0.035  0.658

The 10 most intense peaks (2θ = 15–90°), by angle:
hkl	2θ/deg	I_rel
1 1 1	25.73	100
-1 1 1	27.01	92
0 0 3	31.92	52
1 -1 2	32.98	41
1 1 -2	34.08	30
0 2 -1	35.35	22
2 -2 1	52.35	21
2 2 -1	52.45	18
2 2 2	52.89	23
0 2 -4	57.33	18